# Tb2CeErTe5
Simulated powder diffractogram, CuKα. Input: a cell relaxed with GGA-PBE.
Intensities are scaled so that the largest is 100.

Peak list (10 most intense, 2θ from 10° to 80°, in order of falling intensity)
d_spacing, 2θ/deg, I/Imax
2.753, 32.53, 100
3.893, 22.84, 88
2.772, 32.29, 57
2.608, 34.38, 54
1.893, 48.05, 42
1.947, 46.66, 37
3.209, 27.80, 36
5.923, 14.96, 25
2.016, 44.96, 23
2.089, 43.31, 22

Structure:
Cell: 5.506 5.506 11.847 Å, 90.00 90.00 90.00°
Positions (direct):
Tb 0.000 0.000 0.148
Tb 0.000 0.000 0.852
Ce 0.500 0.500 0.500
Er 0.500 0.500 0.000
Te 0.000 0.000 0.500
Te 0.000 0.500 0.000
Te 0.500 0.000 0.000
Te 0.500 0.500 0.247
Te 0.500 0.500 0.753

# Tb6CeEr3Th2
Simulated powder diffractogram, CuKα. Input: a cell relaxed with GGA-PBE.
Intensities are scaled so that the largest is 100.

Peak list (10 most intense, 2θ from 10° to 80°, in order of falling intensity)
d_spacing, 2θ/deg, I/Imax
2.751, 32.55, 100
2.949, 30.31, 60
1.662, 55.29, 44
2.085, 43.40, 23
1.555, 59.44, 18
1.375, 68.18, 12
1.319, 71.55, 10
1.299, 72.78, 10
1.830, 49.83, 8
1.474, 63.06, 7

Structure:
Cell: 10.019 10.019 5.894 Å, 107.09 107.09 124.08°
Positions (direct):
Tb 0.085 0.410 0.748
Tb 0.247 0.247 0.247
Tb 0.410 0.085 0.748
Tb 0.590 0.915 0.252
Tb 0.753 0.753 0.753
Tb 0.915 0.590 0.252
Ce 0.000 0.000 0.500
Er 0.173 0.827 0.000
Er 0.500 0.500 0.000
Er 0.827 0.173 0.000
Th 0.332 0.668 0.500
Th 0.668 0.332 0.500

# Tb5CeErTm2
Simulated powder diffractogram, CuKα. Input: a cell relaxed with GGA-PBE.
Intensities are scaled so that the largest is 100.

Peak list (10 most intense, 2θ from 10° to 80°, in order of falling intensity)
d_spacing, 2θ/deg, I/Imax
2.778, 32.23, 100
2.749, 32.58, 60
2.835, 31.56, 59
2.592, 34.61, 33
1.625, 56.63, 24
3.344, 26.66, 23
1.446, 64.42, 15
2.162, 41.77, 14
2.693, 33.26, 13
1.619, 56.85, 12

Structure:
Cell: 11.082 11.082 9.532 Å, 90.00 90.00 150.36°
Positions (direct):
Tb 0.014 0.986 0.500
Tb 0.268 0.732 0.818
Tb 0.305 0.695 0.200
Tb 0.394 0.606 0.534
Tb 0.471 0.529 0.237
Tb 0.529 0.471 0.737
Tb 0.606 0.394 0.034
Tb 0.695 0.305 0.700
Tb 0.732 0.268 0.318
Tb 0.986 0.014 0.000
Ce 0.190 0.810 0.510
Ce 0.810 0.190 0.010
Er 0.403 0.597 0.917
Er 0.597 0.403 0.417
Tm 0.114 0.886 0.812
Tm 0.131 0.869 0.198
Tm 0.869 0.131 0.698
Tm 0.886 0.114 0.312

# TbCeEr4Tm2
Simulated powder diffractogram, CuKα. Input: a cell relaxed with GGA-PBE.
Intensities are scaled so that the largest is 100.

Peak list (10 most intense, 2θ from 10° to 80°, in order of falling intensity)
d_spacing, 2θ/deg, I/Imax
2.866, 31.21, 100
1.755, 52.11, 36
2.484, 36.16, 34
1.496, 62.05, 28
2.478, 36.25, 17
1.499, 61.91, 14
1.433, 65.09, 12
1.243, 76.64, 2
1.241, 76.83, 2
1.239, 76.95, 2

Structure:
Cell: 4.963 4.973 9.913 Å, 90.00 90.00 90.00°
Positions (direct):
Tb 0.000 0.000 0.000
Ce 0.500 0.500 0.500
Er 0.000 0.500 0.251
Er 0.000 0.500 0.749
Er 0.500 0.000 0.251
Er 0.500 0.000 0.749
Tm 0.000 0.000 0.500
Tm 0.500 0.500 0.000

# Tb2CeEr3Tm6
Simulated powder diffractogram, CuKα. Input: a cell relaxed with GGA-PBE.
Intensities are scaled so that the largest is 100.

Peak list (10 most intense, 2θ from 10° to 80°, in order of falling intensity)
d_spacing, 2θ/deg, I/Imax
2.865, 31.22, 100
2.480, 36.23, 67
1.496, 62.03, 33
2.857, 31.31, 33
1.755, 52.11, 24
1.751, 52.23, 24
1.494, 62.14, 24
1.433, 65.11, 12
1.240, 76.90, 8
1.428, 65.33, 4

Structure:
Cell: 6.079 6.079 11.606 Å, 95.02 95.02 119.95°
Positions (direct):
Tb 0.167 0.833 0.000
Tb 0.833 0.167 0.000
Ce 0.500 0.500 0.000
Er 0.000 0.000 0.500
Er 0.333 0.667 0.500
Er 0.667 0.333 0.500
Tm 0.085 0.416 0.749
Tm 0.253 0.253 0.251
Tm 0.416 0.085 0.749
Tm 0.584 0.915 0.251
Tm 0.747 0.747 0.749
Tm 0.915 0.584 0.251

# TbCeErTm2
Simulated powder diffractogram, CuKα. Input: a cell relaxed with GGA-PBE.
Intensities are scaled so that the largest is 100.

Peak list (10 most intense, 2θ from 10° to 80°, in order of falling intensity)
d_spacing, 2θ/deg, I/Imax
2.888, 30.96, 100
2.854, 31.35, 54
2.865, 31.22, 26
2.514, 35.71, 25
1.827, 49.92, 23
1.658, 55.40, 20
3.291, 27.09, 19
1.665, 55.15, 18
1.748, 52.32, 18
2.668, 33.59, 17

Structure:
Cell: 5.729 7.520 7.320 Å, 90.00 90.00 90.00°
Positions (direct):
Tb 0.250 0.000 0.157
Tb 0.750 0.000 0.843
Ce 0.000 0.500 0.000
Ce 0.500 0.500 0.000
Er 0.250 0.500 0.380
Er 0.750 0.500 0.620
Tm 0.250 0.210 0.673
Tm 0.250 0.790 0.673
Tm 0.750 0.210 0.327
Tm 0.750 0.790 0.327

# Tb3Ce2YEr6
Simulated powder diffractogram, CuKα. Input: a cell relaxed with GGA-PBE.
Intensities are scaled so that the largest is 100.

Peak list (10 most intense, 2θ from 10° to 80°, in order of falling intensity)
d_spacing, 2θ/deg, I/Imax
2.699, 33.19, 100
2.961, 30.18, 54
2.840, 31.50, 36
1.503, 61.73, 32
2.384, 37.74, 29
1.771, 51.61, 27
1.611, 57.17, 21
1.481, 62.75, 16
1.826, 49.95, 13
1.421, 65.71, 10

Structure:
Cell: 6.135 6.135 11.361 Å, 90.00 90.00 120.00°
Positions (direct):
Tb 0.000 0.000 0.000
Tb 0.333 0.667 0.000
Tb 0.667 0.333 0.000
Ce 0.333 0.667 0.500
Ce 0.667 0.333 0.500
Y 0.000 0.000 0.500
Er 0.000 0.336 0.748
Er 0.000 0.664 0.252
Er 0.336 0.000 0.748
Er 0.336 0.336 0.252
Er 0.664 0.000 0.252
Er 0.664 0.664 0.748

# Ce2ErTc9
Simulated powder diffractogram, CuKα. Input: a cell relaxed with GGA-PBE.
Intensities are scaled so that the largest is 100.

Peak list (10 most intense, 2θ from 10° to 80°, in order of falling intensity)
d_spacing, 2θ/deg, I/Imax
2.269, 39.72, 100
2.266, 39.78, 50
2.607, 34.40, 43
2.250, 40.07, 41
2.300, 39.17, 40
2.970, 30.09, 33
2.741, 32.66, 32
1.430, 65.25, 28
1.304, 72.46, 20
1.547, 59.79, 16

Structure:
Cell: 5.217 5.217 9.690 Å, 105.79 105.79 59.87°
Positions (direct):
Ce 0.148 0.148 0.442
Ce 0.852 0.852 0.558
Er 0.000 0.000 0.000
Tc 0.077 0.583 0.243
Tc 0.335 0.335 0.008
Tc 0.417 0.417 0.758
Tc 0.417 0.923 0.757
Tc 0.500 0.500 0.500
Tc 0.583 0.077 0.243
Tc 0.583 0.583 0.242
Tc 0.665 0.665 0.992
Tc 0.923 0.417 0.757